RbUP2Se8: calculated powder diffraction line list (Cu Ka), based on a structure optimized by DFT (PBE).
No peak broadening, texture or thermal motion is included.

Top 6 peaks for 10 to 90 degrees two-theta, by angle:
2θ (°)	d_spacing	I/Imax
19.5	4.550	66
21.4	4.160	34
28.8	3.103	53
32.6	2.749	100
45.0	2.016	51
48.4	1.879	46

Atomic structure:
```
data_RbUP2Se8
_symmetry_space_group_name_H-M 'P 1'
_symmetry_Int_Tables_number 1
_cell_length_a 10.9378
_cell_length_b 10.9378
_cell_length_c 10.9378
_cell_angle_alpha 34.62
_cell_angle_beta 34.62
_cell_angle_gamma 34.62
loop_
_symmetry_equiv_pos_as_xyz
'x,y,z'
loop_
_atom_site_label
_atom_site_type_symbol
_atom_site_fract_x
_atom_site_fract_y
_atom_site_fract_z
Rb1 Rb 0.0000 0.0000 0.0000
U1 U 0.5000 0.5000 0.5000
P1 P 0.2426 0.2426 0.2426
P2 P 0.7574 0.7574 0.7574
Se1 Se 0.1027 0.4404 0.8026
Se2 Se 0.1974 0.8973 0.5596
Se3 Se 0.3118 0.3118 0.3118
Se4 Se 0.4404 0.8026 0.1027
Se5 Se 0.5596 0.1974 0.8973
Se6 Se 0.6882 0.6882 0.6882
Se7 Se 0.8026 0.1027 0.4404
Se8 Se 0.8973 0.5596 0.1974
```